Diffraction record for LaZn. The powder XRD pattern is theoretical, not measured: it uses a GGA-PBE-relaxed structure and Cu Kα (weighted mean of Kα1 and Kα2).
Lines closer than 0.1° are merged.

Principal peaks in the range 2θ from 15° to 90°, in order of rising 2θ:
- 2θ = 22.79°, I = 19
- 2θ = 31.07°, I = 53
- 2θ = 33.55°, I = 95
- 2θ = 36.19°, I = 100
- 2θ = 36.69°, I = 43
- 2θ = 48.82°, I = 30
- 2θ = 51.50°, I = 18
- 2θ = 64.89°, I = 18
- 2θ = 65.74°, I = 17
- 2θ = 67.87°, I = 23

Structure:
Cell: 6.3738 4.8992 6.4530 Å, 90.00 90.00 90.00°
Element x y z (fractional)
La (0.1298, 0.2500, 0.1310)
La (0.3702, 0.7500, 0.6310)
La (0.6298, 0.2500, 0.3690)
La (0.8702, 0.7500, 0.8690)
Zn (0.0758, 0.2500, 0.6141)
Zn (0.4242, 0.7500, 0.1141)
Zn (0.5758, 0.2500, 0.8859)
Zn (0.9242, 0.7500, 0.3859)

***

Diffraction record for Li2Lu2Nb. The powder XRD pattern is theoretical, not measured: it uses a GGA-PBE-relaxed structure and Cu Kα (weighted mean of Kα1 and Kα2).
Lines closer than 0.1° are merged.

Principal peaks in the range 2θ from 15° to 90°, in order of rising 2θ:
- 2θ = 17.33°, I = 27
- 2θ = 27.93°, I = 53
- 2θ = 32.52°, I = 23
- 2θ = 33.20°, I = 100
- 2θ = 33.50°, I = 36
- 2θ = 39.87°, I = 13
- 2θ = 40.30°, I = 22
- 2θ = 47.38°, I = 16
- 2θ = 53.38°, I = 19
- 2θ = 59.69°, I = 19

Structure:
Cell: 9.4026 9.4026 9.4026 Å, 152.46 146.94 43.55°
Element x y z (fractional)
Li (0.4076, 0.1576, 0.2500)
Li (0.4674, 0.7174, 0.7500)
Li (0.5326, 0.2826, 0.2500)
Li (0.5924, 0.8424, 0.7500)
Lu (0.1552, 0.9052, 0.2500)
Lu (0.3036, 0.5536, 0.7500)
Lu (0.6964, 0.4464, 0.2500)
Lu (0.8448, 0.0948, 0.7500)
Nb (0.0431, 0.2931, 0.7500)
Nb (0.9569, 0.7069, 0.2500)

***

Diffraction record for Li6Lu2O7. The powder XRD pattern is theoretical, not measured: it uses a GGA-PBE-relaxed structure and Cu Kα (weighted mean of Kα1 and Kα2).
Lines closer than 0.1° are merged.

Principal peaks in the range 2θ from 15° to 90°, in order of rising 2θ:
- 2θ = 15.68°, I = 100
- 2θ = 16.88°, I = 40
- 2θ = 22.39°, I = 23
- 2θ = 22.53°, I = 38
- 2θ = 26.46°, I = 24
- 2θ = 28.01°, I = 23
- 2θ = 31.29°, I = 29
- 2θ = 35.92°, I = 20
- 2θ = 39.41°, I = 22
- 2θ = 41.29°, I = 20

Structure:
Cell: 5.3592 5.4597 6.0581 Å, 69.04 83.44 78.92°
Element x y z (fractional)
Li (0.0430, 0.2248, 0.4175)
Li (0.3446, 0.6944, 0.2915)
Li (0.3986, 0.7326, 0.8307)
Li (0.6014, 0.2674, 0.1693)
Li (0.6554, 0.3056, 0.7085)
Li (0.9570, 0.7752, 0.5825)
Lu (0.1444, 0.2499, 0.9253)
Lu (0.8556, 0.7501, 0.0747)
O (0.0305, 0.0090, 0.7483)
O (0.2226, 0.4748, 0.1404)
O (0.3108, 0.5458, 0.6259)
O (0.5000, 0.0000, 0.0000)
O (0.6892, 0.4542, 0.3741)
O (0.7774, 0.5252, 0.8596)
O (0.9695, 0.9910, 0.2517)

***

Diffraction record for Li8Lu4O11. The powder XRD pattern is theoretical, not measured: it uses a GGA-PBE-relaxed structure and Cu Kα (weighted mean of Kα1 and Kα2).
Lines closer than 0.1° are merged.

Principal peaks in the range 2θ from 15° to 90°, in order of rising 2θ:
- 2θ = 18.42°, I = 19
- 2θ = 18.53°, I = 100
- 2θ = 19.67°, I = 30
- 2θ = 22.68°, I = 22
- 2θ = 32.80°, I = 25
- 2θ = 33.01°, I = 23
- 2θ = 33.55°, I = 23
- 2θ = 35.00°, I = 26
- 2θ = 41.00°, I = 47
- 2θ = 41.93°, I = 25

Structure:
Cell: 5.0948 5.5158 9.3817 Å, 83.67 75.99 80.63°
Element x y z (fractional)
Li (0.0000, 0.0000, 0.0000)
Li (0.0253, 0.2743, 0.4540)
Li (0.0779, 0.5675, 0.8768)
Li (0.2719, 0.0292, 0.6941)
Li (0.4508, 0.5017, 0.5227)
Li (0.5061, 0.7679, 0.9251)
Li (0.5622, 0.0799, 0.4019)
Li (0.7629, 0.4598, 0.2175)
Lu (0.1454, 0.7702, 0.2905)
Lu (0.3330, 0.3072, 0.1118)
Lu (0.6894, 0.2692, 0.7856)
Lu (0.8533, 0.7744, 0.6175)
O (0.0659, 0.4034, 0.6590)
O (0.1458, 0.6589, 0.0748)
O (0.2249, 0.9085, 0.4803)
O (0.3410, 0.1215, 0.9208)
O (0.3888, 0.4056, 0.3168)
O (0.4785, 0.6398, 0.7411)
O (0.6462, 0.1472, 0.5814)
O (0.7333, 0.3932, 0.9948)
O (0.7957, 0.6510, 0.4092)
O (0.9012, 0.9004, 0.8207)
O (0.9788, 0.1376, 0.2319)

***

Diffraction record for Li8Lu4O11. The powder XRD pattern is theoretical, not measured: it uses a GGA-PBE-relaxed structure and Cu Kα (weighted mean of Kα1 and Kα2).
Lines closer than 0.1° are merged.

Principal peaks in the range 2θ from 15° to 90°, in order of rising 2θ:
- 2θ = 18.41°, I = 100
- 2θ = 18.82°, I = 35
- 2θ = 19.54°, I = 37
- 2θ = 22.33°, I = 24
- 2θ = 26.45°, I = 28
- 2θ = 32.90°, I = 23
- 2θ = 33.34°, I = 44
- 2θ = 35.11°, I = 26
- 2θ = 41.10°, I = 23
- 2θ = 41.37°, I = 43

Structure:
Cell: 5.1543 5.4731 9.3561 Å, 85.28 76.37 79.56°
Element x y z (fractional)
Li (0.0000, 0.0000, 0.0000)
Li (0.0361, 0.7057, 0.5572)
Li (0.1703, 0.2620, 0.4251)
Li (0.3438, 0.7276, 0.2461)
Li (0.4803, 0.2137, 0.1118)
Li (0.5882, 0.4739, 0.4908)
Li (0.6423, 0.6765, 0.9446)
Li (0.8832, 0.2551, 0.7205)
Lu (0.2292, 0.5257, 0.8284)
Lu (0.4384, 0.9778, 0.6501)
Lu (0.7668, 0.9737, 0.3293)
Lu (0.9251, 0.4715, 0.1652)
O (0.0697, 0.8919, 0.7966)
O (0.1272, 0.0927, 0.1953)
O (0.2387, 0.3562, 0.6284)
O (0.3091, 0.5553, 0.0404)
O (0.3931, 0.8514, 0.4588)
O (0.5539, 0.3443, 0.2912)
O (0.6296, 0.6164, 0.7292)
O (0.7016, 0.8450, 0.1238)
O (0.8098, 0.1022, 0.5398)
O (0.8909, 0.3558, 0.9528)
O (0.9729, 0.6020, 0.3691)

***

Diffraction record for LiLuSeO. The powder XRD pattern is theoretical, not measured: it uses a GGA-PBE-relaxed structure and Cu Kα (weighted mean of Kα1 and Kα2).
Lines closer than 0.1° are merged.

Principal peaks in the range 2θ from 15° to 90°, in order of rising 2θ:
- 2θ = 23.65°, I = 25
- 2θ = 27.02°, I = 100
- 2θ = 32.80°, I = 68
- 2θ = 34.34°, I = 51
- 2θ = 40.08°, I = 22
- 2θ = 43.52°, I = 30
- 2θ = 47.42°, I = 29
- 2θ = 48.38°, I = 14
- 2θ = 55.43°, I = 27
- 2θ = 58.86°, I = 26

Structure:
Cell: 5.4221 5.4222 10.0950 Å, 90.00 105.56 90.00°
Element x y z (fractional)
Li (0.0296, 0.0000, 0.0908)
Li (0.4451, 0.9776, 0.9085)
Li (0.5549, 0.4776, 0.0915)
Li (0.9704, 0.5000, 0.9092)
Lu (0.0533, 0.2184, 0.6073)
Lu (0.4466, 0.2182, 0.3928)
Lu (0.5534, 0.7182, 0.6072)
Lu (0.9467, 0.7184, 0.3927)
Se (0.0921, 0.4797, 0.1707)
Se (0.4118, 0.4760, 0.8295)
Se (0.5882, 0.9760, 0.1705)
Se (0.9079, 0.9797, 0.8293)
O (0.2501, 0.4676, 0.5000)
O (0.2503, 0.9681, 0.5001)
O (0.7497, 0.4681, 0.4999)
O (0.7499, 0.9676, 0.5000)

***

Diffraction record for LiLuPbSe3. The powder XRD pattern is theoretical, not measured: it uses a GGA-PBE-relaxed structure and Cu Kα (weighted mean of Kα1 and Kα2).
Lines closer than 0.1° are merged.

Principal peaks in the range 2θ from 15° to 90°, in order of rising 2θ:
- 2θ = 20.78°, I = 56
- 2θ = 26.47°, I = 46
- 2θ = 27.67°, I = 24
- 2θ = 30.32°, I = 100
- 2θ = 33.33°, I = 29
- 2θ = 33.53°, I = 23
- 2θ = 35.25°, I = 36
- 2θ = 43.05°, I = 44
- 2θ = 43.73°, I = 29
- 2θ = 46.83°, I = 32

Structure:
Cell: 13.6265 4.1402 10.9802 Å, 90.00 90.00 90.00°
Element x y z (fractional)
Li (0.0139, 0.2500, 0.0895)
Li (0.4861, 0.7500, 0.5895)
Li (0.5139, 0.2500, 0.4105)
Li (0.9861, 0.7500, 0.9105)
Lu (0.0172, 0.7500, 0.3409)
Lu (0.4828, 0.2500, 0.8409)
Lu (0.5172, 0.7500, 0.1591)
Lu (0.9828, 0.2500, 0.6591)
Pb (0.2384, 0.7500, 0.9770)
Pb (0.2616, 0.2500, 0.4770)
Pb (0.7384, 0.7500, 0.5230)
Pb (0.7616, 0.2500, 0.0230)
Se (0.0926, 0.2500, 0.8788)
Se (0.1078, 0.7500, 0.5687)
Se (0.1406, 0.2500, 0.2583)
Se (0.3594, 0.7500, 0.7583)
Se (0.3922, 0.2500, 0.0687)
Se (0.4074, 0.7500, 0.3788)
Se (0.5926, 0.2500, 0.6212)
Se (0.6078, 0.7500, 0.9313)
Se (0.6406, 0.2500, 0.2417)
Se (0.8594, 0.7500, 0.7417)
Se (0.8922, 0.2500, 0.4313)
Se (0.9074, 0.7500, 0.1212)

***

Diffraction record for Li2LuScSn2Pd2. The powder XRD pattern is theoretical, not measured: it uses a GGA-PBE-relaxed structure and Cu Kα (weighted mean of Kα1 and Kα2).
Lines closer than 0.1° are merged.

Principal peaks in the range 2θ from 15° to 90°, in order of rising 2θ:
- 2θ = 19.05°, I = 7
- 2θ = 23.38°, I = 23
- 2θ = 27.06°, I = 15
- 2θ = 30.33°, I = 5
- 2θ = 38.64°, I = 100
- 2θ = 45.66°, I = 11
- 2θ = 55.80°, I = 17
- 2θ = 63.08°, I = 6
- 2θ = 69.93°, I = 35
- 2θ = 82.86°, I = 11

Structure:
Cell: 4.6595 4.6595 6.5924 Å, 90.00 90.00 90.00°
Element x y z (fractional)
Li (0.0000, 0.5000, 0.2419)
Li (0.5000, 0.0000, 0.7581)
Lu (0.0000, 0.0000, 0.5000)
Sc (0.5000, 0.5000, 0.0000)
Sn (0.0000, 0.0000, 0.0000)
Sn (0.5000, 0.5000, 0.5000)
Pd (0.0000, 0.5000, 0.7560)
Pd (0.5000, 0.0000, 0.2440)

***

Diffraction record for Li2LuScSn2Pt2. The powder XRD pattern is theoretical, not measured: it uses a GGA-PBE-relaxed structure and Cu Kα (weighted mean of Kα1 and Kα2).
Lines closer than 0.1° are merged.

Principal peaks in the range 2θ from 15° to 90°, in order of rising 2θ:
- 2θ = 19.08°, I = 4
- 2θ = 23.42°, I = 46
- 2θ = 38.71°, I = 100
- 2θ = 45.74°, I = 24
- 2θ = 55.91°, I = 17
- 2θ = 61.44°, I = 10
- 2θ = 70.07°, I = 36
- 2θ = 75.02°, I = 8
- 2θ = 83.04°, I = 11
- 2θ = 87.78°, I = 8

Structure:
Cell: 4.6506 4.6506 6.5817 Å, 90.00 90.00 90.00°
Element x y z (fractional)
Li (0.0000, 0.5000, 0.2405)
Li (0.5000, 0.0000, 0.7595)
Lu (0.0000, 0.0000, 0.5000)
Sc (0.5000, 0.5000, 0.0000)
Sn (0.0000, 0.0000, 0.0000)
Sn (0.5000, 0.5000, 0.5000)
Pt (0.0000, 0.5000, 0.7558)
Pt (0.5000, 0.0000, 0.2442)

***

Diffraction record for LiLuZrPt. The powder XRD pattern is theoretical, not measured: it uses a GGA-PBE-relaxed structure and Cu Kα (weighted mean of Kα1 and Kα2).
Lines closer than 0.1° are merged.

Principal peaks in the range 2θ from 15° to 90°, in order of rising 2θ:
- 2θ = 22.75°, I = 46
- 2θ = 26.33°, I = 3
- 2θ = 37.59°, I = 100
- 2θ = 44.39°, I = 24
- 2θ = 54.20°, I = 17
- 2θ = 59.53°, I = 10
- 2θ = 67.83°, I = 36
- 2θ = 72.57°, I = 8
- 2θ = 80.22°, I = 11
- 2θ = 84.72°, I = 8

Structure:
Cell: 4.7862 4.7862 4.7862 Å, 60.00 60.00 60.00°
Element x y z (fractional)
Li (0.0000, 0.0000, 0.0000)
Lu (0.2500, 0.2500, 0.2500)
Zr (0.7500, 0.7500, 0.7500)
Pt (0.5000, 0.5000, 0.5000)

***

Diffraction record for Li3Mg2NbO6. The powder XRD pattern is theoretical, not measured: it uses a GGA-PBE-relaxed structure and Cu Kα (weighted mean of Kα1 and Kα2).
Lines closer than 0.1° are merged.

Principal peaks in the range 2θ from 15° to 90°, in order of rising 2θ:
- 2θ = 19.05°, I = 46
- 2θ = 20.29°, I = 19
- 2θ = 22.97°, I = 30
- 2θ = 23.91°, I = 100
- 2θ = 38.13°, I = 17
- 2θ = 41.86°, I = 35
- 2θ = 43.89°, I = 63
- 2θ = 50.59°, I = 24
- 2θ = 62.26°, I = 37
- 2θ = 63.82°, I = 18

Structure:
Cell: 9.7592 9.2259 5.2092 Å, 79.81 68.50 31.69°
Element x y z (fractional)
Li (0.1250, 0.1250, 0.1250)
Li (0.2074, 0.2074, 0.5426)
Li (0.4574, 0.4574, 0.7926)
Li (0.5426, 0.5426, 0.2074)
Li (0.7926, 0.7926, 0.4574)
Li (0.8750, 0.8750, 0.8750)
Mg (0.0391, 0.0391, 0.7109)
Mg (0.2891, 0.2891, 0.9609)
Mg (0.7109, 0.7109, 0.0391)
Mg (0.9609, 0.9609, 0.2891)
Nb (0.3750, 0.3750, 0.3750)
Nb (0.6250, 0.6250, 0.6250)
O (0.0598, 0.5275, 0.7122)
O (0.1417, 0.6083, 0.1417)
O (0.2005, 0.7122, 0.5275)
O (0.2878, 0.7995, 0.9402)
O (0.3917, 0.8583, 0.3917)
O (0.4725, 0.9402, 0.7995)
O (0.5275, 0.0598, 0.2005)
O (0.6083, 0.1417, 0.6083)
O (0.7122, 0.2005, 0.0598)
O (0.7995, 0.2878, 0.4725)
O (0.8583, 0.3917, 0.8583)
O (0.9402, 0.4725, 0.2878)

***

Diffraction record for Li6MgPd. The powder XRD pattern is theoretical, not measured: it uses a GGA-PBE-relaxed structure and Cu Kα (weighted mean of Kα1 and Kα2).
Lines closer than 0.1° are merged.

Principal peaks in the range 2θ from 15° to 90°, in order of rising 2θ:
- 2θ = 20.07°, I = 35
- 2θ = 24.31°, I = 100
- 2θ = 27.35°, I = 19
- 2θ = 28.54°, I = 33
- 2θ = 31.73°, I = 20
- 2θ = 34.16°, I = 18
- 2θ = 39.94°, I = 46
- 2θ = 40.80°, I = 22
- 2θ = 46.55°, I = 17
- 2θ = 48.06°, I = 31

Structure:
Cell: 4.4236 4.4236 6.5209 Å, 90.00 90.00 90.00°
Element x y z (fractional)
Li (0.0000, 0.0000, 0.0000)
Li (0.0000, 0.5000, 0.2207)
Li (0.0000, 0.5000, 0.7793)
Li (0.5000, 0.0000, 0.2207)
Li (0.5000, 0.0000, 0.7793)
Li (0.5000, 0.5000, 0.5000)
Mg (0.0000, 0.0000, 0.5000)
Pd (0.5000, 0.5000, 0.0000)